Entry 1:
# CrCo4Ni15
Theoretical powder X-ray diffraction pattern, λ = 1.5418 Å (Cu Kα). Input: a GGA-PBE-relaxed structure.
Lines closer than 0.1° are merged.

Atomic structure:
Lattice parameters (Å, degrees): 3.525 3.525 17.609 90.00 90.00 90.00
Sites, in units of the cell vectors:
Cr 0.000 0.000 0.000
Co 0.000 0.000 0.202
Co 0.000 0.000 0.401
Co 0.000 0.000 0.599
Co 0.000 0.000 0.798
Ni 0.000 0.500 0.101
Ni 0.000 0.500 0.301
Ni 0.000 0.500 0.500
Ni 0.000 0.500 0.699
Ni 0.000 0.500 0.899
Ni 0.500 0.000 0.101
Ni 0.500 0.000 0.301
Ni 0.500 0.000 0.500
Ni 0.500 0.000 0.699
Ni 0.500 0.000 0.899
Ni 0.500 0.500 0.000
Ni 0.500 0.500 0.201
Ni 0.500 0.500 0.400
Ni 0.500 0.500 0.600
Ni 0.500 0.500 0.799

Main lines, by angle (2θ from 10° to 80°):
| Position (°2θ) | intensity |
| --- | --- |
| 44.5 | 100 |
| 51.9 | 46 |
| 76.4 | 27 |

Entry 2:
# U
Theoretical powder X-ray diffraction pattern, λ = 1.5418 Å (Cu Kα). Input: a GGA-PBE-relaxed structure.
Lines closer than 0.1° are merged.

Atomic structure:
Lattice parameters (Å, degrees): 6.575 4.893 5.160 90.00 90.00 90.00
Sites, in units of the cell vectors:
U 0.052 0.250 0.198
U 0.218 0.750 0.300
U 0.282 0.250 0.800
U 0.448 0.750 0.698
U 0.552 0.250 0.302
U 0.718 0.750 0.200
U 0.782 0.250 0.700
U 0.948 0.750 0.802

Main lines, by angle (2θ from 10° to 80°):
| Position (°2θ) | intensity |
| --- | --- |
| 32.3 | 25 |
| 34.8 | 29 |
| 36.7 | 39 |
| 37.3 | 100 |
| 49.7 | 15 |
| 51.5 | 20 |
| 59.3 | 16 |
| 66.5 | 19 |

Entry 3:
# CuGeTe
Theoretical powder X-ray diffraction pattern, λ = 1.5418 Å (Cu Kα). Input: a GGA-PBE-relaxed structure.
Lines closer than 0.1° are merged.

Atomic structure:
Lattice parameters (Å, degrees): 5.737 4.016 6.220 90.00 106.18 90.00
Sites, in units of the cell vectors:
Cu 0.190 0.250 0.255
Cu 0.810 0.750 0.745
Ge 0.469 0.750 0.351
Ge 0.531 0.250 0.649
Te 0.141 0.250 0.815
Te 0.859 0.750 0.185

Main lines, by angle (2θ from 10° to 80°):
| Position (°2θ) | intensity |
| --- | --- |
| 26.7 | 55 |
| 27.5 | 100 |
| 29.8 | 40 |
| 29.9 | 58 |
| 39.7 | 68 |
| 44.2 | 65 |
| 44.5 | 81 |
| 45.2 | 43 |

Entry 4:
# Pm8ErSc3
Theoretical powder X-ray diffraction pattern, λ = 1.5418 Å (Cu Kα). Input: a GGA-PBE-relaxed structure.
Lines closer than 0.1° are merged.

Atomic structure:
Lattice parameters (Å, degrees): 8.442 8.442 8.442 120.18 120.18 89.68
Sites, in units of the cell vectors:
Pm 0.132 0.132 0.721
Pm 0.223 0.695 0.000
Pm 0.305 0.305 0.528
Pm 0.411 0.411 0.279
Pm 0.589 0.868 0.000
Pm 0.695 0.223 0.000
Pm 0.777 0.777 0.472
Pm 0.868 0.589 0.000
Er 0.000 0.000 0.000
Sc 0.250 0.750 0.500
Sc 0.500 0.500 0.000
Sc 0.750 0.250 0.500

Main lines, by angle (2θ from 10° to 80°):
| Position (°2θ) | intensity |
| --- | --- |
| 14.9 | 54 |
| 24.8 | 100 |
| 30.0 | 60 |
| 32.7 | 73 |
| 33.5 | 65 |
| 33.6 | 48 |
| 37.0 | 83 |
| 45.7 | 77 |

Entry 5:
# Bi8Pt5I3
Theoretical powder X-ray diffraction pattern, λ = 1.5418 Å (Cu Kα). Input: a GGA-PBE-relaxed structure.
Lines closer than 0.1° are merged.

Atomic structure:
Lattice parameters (Å, degrees): 9.551 9.551 13.742 112.30 112.30 24.20
Sites, in units of the cell vectors:
Bi 0.020 0.020 0.281
Bi 0.177 0.177 0.226
Bi 0.182 0.182 0.525
Bi 0.397 0.397 0.023
Bi 0.603 0.603 0.977
Bi 0.818 0.818 0.475
Bi 0.823 0.823 0.774
Bi 0.980 0.980 0.719
Pt 0.000 0.000 0.000
Pt 0.345 0.345 0.629
Pt 0.445 0.445 0.843
Pt 0.555 0.555 0.157
Pt 0.655 0.655 0.371
I 0.184 0.184 0.829
I 0.500 0.500 0.500
I 0.816 0.816 0.171

Main lines, by angle (2θ from 10° to 80°):
| Position (°2θ) | intensity |
| --- | --- |
| 27.9 | 22 |
| 30.6 | 100 |
| 31.2 | 24 |
| 34.4 | 56 |
| 34.9 | 29 |
| 37.7 | 34 |
| 38.3 | 50 |
| 45.3 | 40 |

Entry 6:
# KNaTlAs
Theoretical powder X-ray diffraction pattern, λ = 1.5418 Å (Cu Kα). Input: a GGA-PBE-relaxed structure.
Lines closer than 0.1° are merged.

Atomic structure:
Lattice parameters (Å, degrees): 5.441 5.441 5.441 60.00 60.00 60.00
Sites, in units of the cell vectors:
K 0.000 0.000 0.000
Na 0.250 0.250 0.250
Tl 0.750 0.750 0.750
As 0.500 0.500 0.500

Main lines, by angle (2θ from 10° to 80°):
| Position (°2θ) | intensity |
| --- | --- |
| 20.0 | 61 |
| 32.9 | 100 |
| 38.8 | 35 |
| 47.3 | 18 |
| 51.8 | 16 |
| 58.8 | 37 |
| 62.7 | 12 |
| 78.6 | 16 |

Entry 7:
# SrAg6O4
Theoretical powder X-ray diffraction pattern, λ = 1.5418 Å (Cu Kα). Input: a GGA-PBE-relaxed structure.
Lines closer than 0.1° are merged.

Atomic structure:
Lattice parameters (Å, degrees): 6.638 12.624 9.066 90.00 90.00 90.00
Sites, in units of the cell vectors:
Sr 0.250 0.000 0.119
Sr 0.250 0.500 0.381
Sr 0.750 0.000 0.881
Sr 0.750 0.500 0.619
Ag 0.000 0.000 0.500
Ag 0.000 0.500 0.000
Ag 0.075 0.239 0.458
Ag 0.075 0.261 0.042
Ag 0.089 0.750 0.250
Ag 0.211 0.622 0.734
Ag 0.211 0.878 0.766
Ag 0.289 0.122 0.766
Ag 0.289 0.378 0.734
Ag 0.411 0.250 0.250
Ag 0.425 0.739 0.042
Ag 0.425 0.761 0.458
Ag 0.500 0.000 0.500
Ag 0.500 0.500 0.000
Ag 0.575 0.239 0.542
Ag 0.575 0.261 0.958
Ag 0.589 0.750 0.750
Ag 0.711 0.622 0.266
Ag 0.711 0.878 0.234
Ag 0.789 0.122 0.234
Ag 0.789 0.378 0.266
Ag 0.911 0.250 0.750
Ag 0.925 0.739 0.958
Ag 0.925 0.761 0.542
O 0.043 0.120 0.918
O 0.043 0.380 0.582
O 0.087 0.102 0.325
O 0.087 0.398 0.175
O 0.413 0.602 0.175
O 0.413 0.898 0.325
O 0.457 0.620 0.582
O 0.457 0.880 0.918
O 0.543 0.120 0.082
O 0.543 0.380 0.418
O 0.587 0.102 0.675
O 0.587 0.398 0.825
O 0.913 0.602 0.825
O 0.913 0.898 0.675
O 0.957 0.620 0.418
O 0.957 0.880 0.082

Main lines, by angle (2θ from 10° to 80°):
| Position (°2θ) | intensity |
| --- | --- |
| 29.5 | 38 |
| 32.9 | 100 |
| 33.5 | 53 |
| 34.2 | 76 |
| 34.6 | 59 |
| 39.1 | 45 |
| 39.4 | 34 |
| 57.2 | 40 |

Entry 8:
# NdHgCl6
Theoretical powder X-ray diffraction pattern, λ = 1.5418 Å (Cu Kα). Input: a GGA-PBE-relaxed structure.
Lines closer than 0.1° are merged.

Atomic structure:
Lattice parameters (Å, degrees): 6.573 6.612 7.013 116.55 90.15 115.64
Sites, in units of the cell vectors:
Nd 0.000 0.000 0.000
Hg 0.500 0.000 0.500
Cl 0.070 0.491 0.248
Cl 0.266 0.187 0.753
Cl 0.423 0.164 0.259
Cl 0.577 0.836 0.741
Cl 0.734 0.813 0.247
Cl 0.930 0.509 0.752

Main lines, by angle (2θ from 10° to 80°):
| Position (°2θ) | intensity |
| --- | --- |
| 17.1 | 100 |
| 18.5 | 87 |
| 18.7 | 85 |
| 23.7 | 53 |
| 25.1 | 44 |
| 25.5 | 64 |
| 37.4 | 39 |
| 41.2 | 33 |

Entry 9:
# La2DyEr5Th
Theoretical powder X-ray diffraction pattern, λ = 1.5418 Å (Cu Kα). Input: a GGA-PBE-relaxed structure.
Lines closer than 0.1° are merged.

Atomic structure:
Lattice parameters (Å, degrees): 10.232 10.232 10.919 90.00 90.00 148.18
Sites, in units of the cell vectors:
La 0.115 0.885 0.500
La 0.116 0.884 0.081
La 0.884 0.116 0.581
La 0.885 0.115 0.000
Dy 0.202 0.798 0.774
Dy 0.798 0.202 0.274
Er 0.014 0.986 0.794
Er 0.282 0.718 0.075
Er 0.299 0.701 0.475
Er 0.392 0.608 0.786
Er 0.481 0.519 0.503
Er 0.519 0.481 0.003
Er 0.608 0.392 0.286
Er 0.701 0.299 0.975
Er 0.718 0.282 0.575
Er 0.986 0.014 0.294
Th 0.418 0.582 0.228
Th 0.582 0.418 0.728

Main lines, by angle (2θ from 10° to 80°):
| Position (°2θ) | intensity |
| --- | --- |
| 28.4 | 15 |
| 29.6 | 29 |
| 31.9 | 39 |
| 32.3 | 100 |
| 32.8 | 13 |
| 57.1 | 20 |
| 59.9 | 11 |
| 60.7 | 11 |

Entry 10:
# Ba2BiB2O6
Theoretical powder X-ray diffraction pattern, λ = 1.5418 Å (Cu Kα). Input: a GGA-PBE-relaxed structure.
Lines closer than 0.1° are merged.

Atomic structure:
Lattice parameters (Å, degrees): 7.344 7.344 7.344 43.78 43.78 43.78
Sites, in units of the cell vectors:
Ba 0.212 0.212 0.212
Ba 0.788 0.788 0.788
Bi 0.000 0.000 0.000
B 0.424 0.424 0.424
B 0.576 0.576 0.576
O 0.278 0.278 0.720
O 0.278 0.720 0.278
O 0.280 0.722 0.722
O 0.720 0.278 0.278
O 0.722 0.280 0.722
O 0.722 0.722 0.280

Main lines, by angle (2θ from 10° to 80°):
| Position (°2θ) | intensity |
| --- | --- |
| 19.2 | 65 |
| 26.0 | 63 |
| 29.3 | 100 |
| 32.7 | 71 |
| 42.2 | 33 |
| 44.5 | 34 |
| 53.3 | 30 |
| 56.3 | 27 |

Entry 11:
# PmNdSiPd
Theoretical powder X-ray diffraction pattern, λ = 1.5418 Å (Cu Kα). Input: a GGA-PBE-relaxed structure.
Lines closer than 0.1° are merged.

Atomic structure:
Lattice parameters (Å, degrees): 4.288 5.905 5.905 41.08 90.00 90.00
Sites, in units of the cell vectors:
Pm 0.000 0.000 0.000
Nd 0.500 0.279 0.279
Si 0.000 0.714 0.714
Pd 0.500 0.567 0.567

Main lines, by angle (2θ from 10° to 80°):
| Position (°2θ) | intensity |
| --- | --- |
| 26.3 | 30 |
| 31.1 | 100 |
| 32.4 | 26 |
| 32.5 | 43 |
| 38.9 | 49 |
| 42.1 | 23 |
| 43.7 | 21 |
| 54.2 | 44 |

Entry 12:
# AcTlAuSe
Theoretical powder X-ray diffraction pattern, λ = 1.5418 Å (Cu Kα). Input: a GGA-PBE-relaxed structure.
Lines closer than 0.1° are merged.

Atomic structure:
Lattice parameters (Å, degrees): 5.365 5.365 5.365 60.00 60.00 60.00
Sites, in units of the cell vectors:
Ac 0.000 0.000 0.000
Tl 0.500 0.500 0.500
Au 0.750 0.750 0.750
Se 0.250 0.250 0.250

Main lines, by angle (2θ from 10° to 80°):
| Position (°2θ) | intensity |
| --- | --- |
| 20.3 | 6 |
| 23.4 | 5 |
| 33.4 | 100 |
| 39.4 | 4 |
| 48.0 | 18 |
| 59.7 | 39 |
| 70.2 | 12 |
| 80.0 | 17 |